No. 1
SrZnHg2: simulated powder XRD pattern (CuKα), based on DFT lattice parameters and positions (PBE).
Neutral-atom scattering factors, no anomalous dispersion.

Atomic structure:
Lattice parameters (Å, degrees): 10.280 10.280 4.820 90.00 90.00 155.14
Element x y z (fractional)
Sr (0.109, 0.891, 0.750)
Sr (0.891, 0.109, 0.250)
Zn (0.328, 0.672, 0.750)
Zn (0.672, 0.328, 0.250)
Hg (0.255, 0.745, 0.250)
Hg (0.460, 0.540, 0.750)
Hg (0.540, 0.460, 0.250)
Hg (0.745, 0.255, 0.750)

Main lines, in order of rising 2θ (15° ≤ 2θ ≤ 90°):
2θ (°)	Rel. int.
17.67	21.3
20.55	21.2
30.05	16.3
30.50	100.0
32.57	15.9
37.31	28.8
40.52	17.0
40.78	21.9
41.95	36.2
56.45	16.9

---

No. 2
SrZnHg6: simulated powder XRD pattern (CuKα), based on DFT lattice parameters and positions (PBE).
Neutral-atom scattering factors, no anomalous dispersion.

Atomic structure:
Lattice parameters (Å, degrees): 6.222 6.222 6.222 92.32 92.32 92.32
Element x y z (fractional)
Sr (0.000, 0.000, 0.000)
Zn (0.500, 0.500, 0.500)
Hg (0.180, 0.180, 0.546)
Hg (0.180, 0.546, 0.180)
Hg (0.454, 0.820, 0.820)
Hg (0.546, 0.180, 0.180)
Hg (0.820, 0.454, 0.820)
Hg (0.820, 0.820, 0.454)

Main lines, in order of rising 2θ (15° ≤ 2θ ≤ 90°):
2θ (°)	Rel. int.
24.47	62.4
25.87	53.8
31.66	88.1
35.14	100.0
42.00	20.5
43.72	40.8
46.83	23.1
62.04	20.6
62.38	18.0
65.03	20.8

---

No. 3
Sr6ZnHg: simulated powder XRD pattern (CuKα), based on DFT lattice parameters and positions (PBE).
Neutral-atom scattering factors, no anomalous dispersion.

Atomic structure:
Lattice parameters (Å, degrees): 11.076 11.076 11.076 149.97 149.97 42.99
Element x y z (fractional)
Sr (0.092, 0.592, 0.500)
Sr (0.250, 0.250, 0.000)
Sr (0.408, 0.908, 0.500)
Sr (0.592, 0.092, 0.500)
Sr (0.750, 0.750, 0.000)
Sr (0.908, 0.408, 0.500)
Zn (0.000, 0.000, 0.000)
Hg (0.500, 0.500, 0.000)

Main lines, in order of rising 2θ (15° ≤ 2θ ≤ 90°):
2θ (°)	Rel. int.
16.03	12.1
27.99	100.0
31.17	51.6
34.20	25.4
41.51	19.3
44.66	19.0
53.53	32.6
57.43	10.9
62.60	10.7
63.08	11.2

---

No. 4
Sr6ZnHg2: simulated powder XRD pattern (CuKα), based on DFT lattice parameters and positions (PBE).
Neutral-atom scattering factors, no anomalous dispersion.

Atomic structure:
Lattice parameters (Å, degrees): 11.126 9.005 7.684 83.21 53.49 43.30
Element x y z (fractional)
Sr (0.134, 0.866, 0.134)
Sr (0.200, 0.468, 0.532)
Sr (0.468, 0.200, 0.800)
Sr (0.532, 0.800, 0.200)
Sr (0.800, 0.532, 0.468)
Sr (0.866, 0.134, 0.866)
Zn (0.500, 0.500, 0.500)
Hg (0.166, 0.166, 0.834)
Hg (0.834, 0.834, 0.166)

Main lines, in order of rising 2θ (15° ≤ 2θ ≤ 90°):
2θ (°)	Rel. int.
29.02	100.0
31.27	25.4
31.43	25.0
38.65	30.4
44.93	18.6
54.28	17.3
54.48	17.1
60.83	8.3
61.31	13.2
70.48	8.8

---

No. 5
Sr4ZnHg3: simulated powder XRD pattern (CuKα), based on DFT lattice parameters and positions (PBE).
Neutral-atom scattering factors, no anomalous dispersion.

Atomic structure:
Lattice parameters (Å, degrees): 4.406 4.988 12.278 90.00 90.00 90.00
Element x y z (fractional)
Sr (0.000, 0.000, 0.000)
Sr (0.000, 0.500, 0.280)
Sr (0.500, 0.000, 0.495)
Sr (0.500, 0.500, 0.783)
Zn (0.500, 0.000, 0.209)
Hg (0.000, 0.000, 0.720)
Hg (0.000, 0.500, 0.559)
Hg (0.500, 0.500, 0.070)

Main lines, in order of rising 2θ (15° ≤ 2θ ≤ 90°):
2θ (°)	Rel. int.
21.43	34.9
27.98	93.6
34.30	46.7
34.91	100.0
36.01	35.9
40.97	25.4
54.47	25.1
55.67	20.5
64.03	25.3
68.82	20.4

---

No. 6
TaHg5: simulated powder XRD pattern (CuKα), based on DFT lattice parameters and positions (PBE).
Neutral-atom scattering factors, no anomalous dispersion.

Atomic structure:
Lattice parameters (Å, degrees): 3.015 3.015 15.834 90.00 90.00 90.00
Element x y z (fractional)
Ta (0.000, 0.000, 0.000)
Hg (0.000, 0.000, 0.312)
Hg (0.000, 0.000, 0.688)
Hg (0.500, 0.500, 0.134)
Hg (0.500, 0.500, 0.500)
Hg (0.500, 0.500, 0.866)

Main lines, in order of rising 2θ (15° ≤ 2θ ≤ 90°):
2θ (°)	Rel. int.
28.18	12.4
33.97	13.8
34.25	100.0
37.49	9.3
42.39	33.9
51.68	9.6
55.40	13.9
55.54	13.8
61.50	11.4
72.32	23.8

---

No. 7
Ta5Hg: simulated powder XRD pattern (CuKα), based on DFT lattice parameters and positions (PBE).
Neutral-atom scattering factors, no anomalous dispersion.

Atomic structure:
Lattice parameters (Å, degrees): 7.020 7.020 4.700 90.00 90.00 151.30
Element x y z (fractional)
Ta (0.000, 0.000, 0.000)
Ta (0.171, 0.829, 0.500)
Ta (0.334, 0.666, 0.000)
Ta (0.666, 0.334, 0.000)
Ta (0.829, 0.171, 0.500)
Hg (0.500, 0.500, 0.500)

Main lines, in order of rising 2θ (15° ≤ 2θ ≤ 90°):
2θ (°)	Rel. int.
37.79	100.0
38.30	24.2
39.76	21.6
52.60	9.8
56.39	15.8
66.91	9.6
68.92	17.5
70.87	15.9
80.74	11.4
89.71	9.2

---

No. 8
TaHgTe2: simulated powder XRD pattern (CuKα), based on DFT lattice parameters and positions (PBE).
Neutral-atom scattering factors, no anomalous dispersion.

Atomic structure:
Lattice parameters (Å, degrees): 3.683 3.684 10.085 89.93 89.64 60.01
Element x y z (fractional)
Ta (0.000, 0.000, 0.000)
Hg (0.335, 0.330, 0.500)
Te (0.663, 0.668, 0.183)
Te (0.670, 0.665, 0.817)

Main lines, in order of rising 2θ (15° ≤ 2θ ≤ 90°):
2θ (°)	Rel. int.
17.59	24.9
26.51	14.5
29.35	100.0
29.43	19.7
33.17	44.8
33.30	45.8
35.61	12.2
38.83	37.7
39.01	37.0
49.49	46.6

---

No. 9
TaHgTe: simulated powder XRD pattern (CuKα), based on DFT lattice parameters and positions (PBE).
Neutral-atom scattering factors, no anomalous dispersion.

Atomic structure:
Lattice parameters (Å, degrees): 3.442 3.442 7.105 90.00 90.00 120.00
Element x y z (fractional)
Ta (0.000, 0.000, 0.000)
Hg (0.333, 0.667, 0.309)
Te (0.333, 0.667, 0.735)

Main lines, in order of rising 2θ (15° ≤ 2θ ≤ 90°):
2θ (°)	Rel. int.
29.97	49.8
32.57	58.6
37.99	17.3
39.46	100.0
49.13	13.1
53.22	32.3
67.24	19.8
68.23	20.2
73.88	16.1
77.17	10.5

---

No. 10
TaHgTe: simulated powder XRD pattern (CuKα), based on DFT lattice parameters and positions (PBE).
Neutral-atom scattering factors, no anomalous dispersion.

Atomic structure:
Lattice parameters (Å, degrees): 5.112 5.112 9.813 92.76 92.76 39.80
Element x y z (fractional)
Ta (0.000, 0.000, 0.000)
Ta (0.667, 0.667, 0.150)
Hg (0.675, 0.675, 0.458)
Hg (0.959, 0.959, 0.636)
Te (0.391, 0.391, 0.211)
Te (0.696, 0.696, 0.874)

Main lines, in order of rising 2θ (15° ≤ 2θ ≤ 90°):
2θ (°)	Rel. int.
26.65	41.6
27.26	56.6
28.61	33.9
32.35	62.2
32.65	28.2
33.98	25.9
37.47	30.2
38.20	100.0
38.61	39.7
39.32	58.8

---

No. 11
YTa3Hg: simulated powder XRD pattern (CuKα), based on DFT lattice parameters and positions (PBE).
Neutral-atom scattering factors, no anomalous dispersion.

Atomic structure:
Lattice parameters (Å, degrees): 5.097 5.097 5.097 90.00 90.00 90.00
Element x y z (fractional)
Y (0.000, 0.000, 0.000)
Ta (0.000, 0.500, 0.500)
Ta (0.500, 0.000, 0.500)
Ta (0.500, 0.500, 0.000)
Hg (0.500, 0.500, 0.500)

Main lines, in order of rising 2θ (15° ≤ 2θ ≤ 90°):
2θ (°)	Rel. int.
17.40	66.0
30.38	52.2
35.22	100.0
39.54	35.9
50.66	71.9
53.97	18.6
60.22	22.4
63.20	24.7
74.46	11.6
85.14	33.4

---

No. 12
TbHg7: simulated powder XRD pattern (CuKα), based on DFT lattice parameters and positions (PBE).
Neutral-atom scattering factors, no anomalous dispersion.

Atomic structure:
Lattice parameters (Å, degrees): 9.985 9.985 9.985 153.39 153.39 37.99
Element x y z (fractional)
Tb (0.000, 0.000, 0.000)
Hg (0.124, 0.624, 0.500)
Hg (0.251, 0.251, 0.000)
Hg (0.376, 0.876, 0.500)
Hg (0.500, 0.500, 0.000)
Hg (0.624, 0.124, 0.500)
Hg (0.749, 0.749, 0.000)
Hg (0.876, 0.376, 0.500)

Main lines, in order of rising 2θ (15° ≤ 2θ ≤ 90°):
2θ (°)	Rel. int.
33.47	100.0
38.13	17.6
39.20	32.8
55.83	23.7
56.64	11.4
65.96	14.4
67.41	27.2
70.33	12.1
81.58	2.0
84.27	3.9